# Zn3B2O6
Simulated PXRD pattern, CuKα. Input: a GGA-PBE-relaxed structure.

```
44
Lattice="12.273 -2.542 0.000 12.273 2.542 0.000 -1.977 0.000 8.252" Properties=species:S:1:pos:R:3 pbc="T T T"
Zn 7.407 0.975 3.821
Zn 11.285 1.666 4.126
Zn 8.775 0.932 6.560
Zn 13.979 1.638 2.884
Zn 16.469 0.930 0.452
Zn 6.419 -0.975 7.947
Zn 17.837 0.971 3.196
Zn 9.763 -0.932 2.434
Zn 12.273 -1.666 0.000
Zn 15.481 -0.930 4.578
Zn 12.991 -1.638 7.010
Zn 16.848 -0.971 7.322
B 8.555 1.596 1.279
B 5.401 0.940 1.611
B 11.596 0.874 1.131
B 4.412 -0.940 5.737
B 13.665 0.913 5.877
B 10.608 -0.874 5.257
B 7.567 -1.596 5.405
B 14.654 -0.913 1.751
O 4.317 0.442 5.741
O 8.133 0.944 0.127
O 9.551 1.603 8.206
O 8.860 0.883 2.436
O 12.039 1.494 2.278
O 13.223 1.547 4.739
O 13.753 1.634 7.055
O 5.305 -0.442 1.615
O 10.214 0.457 5.228
O 7.144 -0.944 4.253
O 16.381 0.889 4.578
O 15.028 0.425 1.769
O 11.203 -0.457 1.102
O 7.871 -0.883 6.562
O 17.109 0.948 6.887
O 14.039 -0.425 5.895
O 20.924 0.436 1.277
O 10.540 -1.603 4.080
O 11.051 -1.494 6.404
O 17.369 -0.889 0.452
O 14.211 -1.547 0.613
O 14.742 -1.634 2.929
O 18.098 -0.948 2.761
O 19.935 -0.436 5.403
```

Main lines, in order of rising 2θ (2θ = 10–80°):
| d (Å) | 2θ/deg | I_rel |
| --- | --- | --- |
| 4.171 | 21.30 | 50 |
| 3.422 | 26.04 | 78 |
| 3.270 | 27.27 | 100 |
| 2.542 | 35.31 | 43 |
| 2.532 | 35.45 | 38 |
| 2.460 | 36.53 | 40 |